Entry 1:
Diffraction record for Y4AlAu. The XRD peak list is simulated, not measured: it uses DFT lattice parameters and positions (GGA-PBE) and λ = 1.5418 Å (Cu Kα).
Intensities are scaled so that the largest is 100.

Peak list (10 most intense, 10° ≤ 2θ ≤ 90°, by angle)
12.91 deg, rel. 100.0, hkl 0 2 0
30.25 deg, rel. 18.3, hkl 3 1 -1
30.89 deg, rel. 19.6, hkl 0 4 1
32.30 deg, rel. 16.8, hkl 2 2 -2
33.29 deg, rel. 15.5, hkl 2 4 -1
34.59 deg, rel. 28.3, hkl 3 1 -2
34.70 deg, rel. 25.4, hkl 1 5 0
35.22 deg, rel. 23.0, hkl 1 3 -2
35.45 deg, rel. 22.0, hkl 0 2 2
39.37 deg, rel. 32.9, hkl 3 3 0

Structural model:
```
data_Y4AlAu
_cell_length_a 9.078
_cell_length_b 13.669
_cell_length_c 6.226
_cell_angle_alpha 90.00
_cell_angle_beta 118.86
_cell_angle_gamma 90.00
_symmetry_space_group_name_H-M 'C 1 2/c 1'
_symmetry_Int_Tables_number 15
loop_
_symmetry_equiv_pos_as_xyz
'x,y,z'
'-x,-y,-z'
'-x,y,-z+1/2'
'x,-y,z+1/2'
'x+1/2,y+1/2,z'
'-x+1/2,-y+1/2,-z'
'-x+1/2,y+1/2,-z+1/2'
'x+1/2,-y+1/2,z+1/2'
loop_
_atom_site_label
_atom_site_fract_x
_atom_site_fract_y
_atom_site_fract_z
Y1 0.124 0.184 0.088
Y2 0.202 0.429 0.299
Al1 0.000 0.371 0.750
Au1 0.000 0.001 0.250
```

=====

Entry 2:
Diffraction record for Pm7Se5S. The XRD peak list is simulated, not measured: it uses DFT lattice parameters and positions (GGA-PBE) and λ = 1.5418 Å (Cu Kα).
Intensities are scaled so that the largest is 100.

Peak list (10 most intense, 10° ≤ 2θ ≤ 90°, by angle)
27.03 deg, rel. 27.8, hkl 1 4 0
28.21 deg, rel. 66.6, hkl 0 7 1
29.71 deg, rel. 35.8, hkl 1 1 -2
30.36 deg, rel. 83.9, hkl 1 2 1
31.46 deg, rel. 100.0, hkl 0 8 1
39.91 deg, rel. 28.6, hkl 1 9 0
43.04 deg, rel. 32.9, hkl 1 10 -1
43.85 deg, rel. 28.6, hkl 1 5 2
44.70 deg, rel. 32.4, hkl 2 0 -1
45.56 deg, rel. 22.9, hkl 1 6 -3

Structural model:
```
data_Pm7Se5S
_cell_length_a 4.054
_cell_length_b 24.981
_cell_length_c 7.130
_cell_angle_alpha 90.00
_cell_angle_beta 106.51
_cell_angle_gamma 90.00
_symmetry_space_group_name_H-M 'P 1 21 1'
_symmetry_Int_Tables_number 4
loop_
_symmetry_equiv_pos_as_xyz
'x,y,z'
'-x,y+1/2,-z'
loop_
_atom_site_label
_atom_site_fract_x
_atom_site_fract_y
_atom_site_fract_z
Pm1 0.043 0.000 0.082
Pm2 0.123 0.716 0.250
Pm3 0.156 0.292 0.308
Pm4 0.283 0.933 0.575
Pm5 0.312 0.072 0.617
Pm6 0.396 0.633 0.797
Pm7 0.439 0.359 0.874
Se1 0.043 0.606 0.092
Se2 0.075 0.400 0.145
Se3 0.204 0.825 0.412
Se4 0.236 0.180 0.466
Se5 0.479 0.749 0.963
S1 0.310 0.523 0.626
```

=====

Entry 3:
Diffraction record for Rb3Mn2Cl8. The XRD peak list is simulated, not measured: it uses DFT lattice parameters and positions (GGA-PBE) and λ = 1.5418 Å (Cu Kα).
Intensities are scaled so that the largest is 100.

Peak list (10 most intense, 10° ≤ 2θ ≤ 90°, by angle)
21.38 deg, rel. 70.9, hkl 0 1 5
24.61 deg, rel. 100.0, hkl 1 1 0
29.22 deg, rel. 35.1, hkl 2 0 2
31.34 deg, rel. 36.2, hkl 0 2 4
32.82 deg, rel. 64.0, hkl 2 0 5
35.35 deg, rel. 41.7, hkl 1 0 10
41.45 deg, rel. 28.3, hkl 1 2 5
50.46 deg, rel. 39.1, hkl 2 2 0
50.66 deg, rel. 26.3, hkl 2 1 10
55.78 deg, rel. 26.2, hkl 1 1 15

Structural model:
```
data_Rb3Mn2Cl8
_cell_length_a 7.2346
_cell_length_b 7.2346
_cell_length_c 27.7713
_cell_angle_alpha 90.00
_cell_angle_beta 90.00
_cell_angle_gamma 120.00
_symmetry_space_group_name_H-M 'R -3 m'
_symmetry_Int_Tables_number 166
_symmetry_space_group_name_Hall '-R 3 2"'
loop_
_atom_site_label
_atom_site_fract_x
_atom_site_fract_y
_atom_site_fract_z
Rb1 0.0000 0.0000 0.0000
Rb2 0.0000 0.0000 0.2062
Mn1 0.0000 0.0000 0.4058
Cl1 0.0000 0.0000 0.3236
Cl2 0.0059 0.5029 0.7690
```